Diffraction record for SmThSe2O. The powder XRD pattern is computed, not measured: it uses a PBE-relaxed structure and Cu Kα X-rays.
Neutral-atom scattering factors, no anomalous dispersion.

Principal peaks in the range 2θ from 10° to 80°, in order of falling intensity:
2theta  intensity  hkl
30.67  100  1 1 0
24.94  87  0 0 4
43.92  50  2 0 0
39.92  44  1 1 4
33.19  44  1 0 4
51.17  36  2 0 4
56.14  22  2 1 4
54.93  20  1 1 7
44.40  20  0 0 7
63.86  19  2 2 0
31.32  18  0 0 5
72.50  18  3 1 0

Atomic structure:
Cell: 4.1229 4.1229 14.2812 Å, 90.00 90.00 90.00°
Fractional coordinates of all 10 atoms:
Sm1 0.2500 0.2500 0.0775
Sm2 0.7500 0.7500 0.9225
Th1 0.2500 0.2500 0.6120
Th2 0.7500 0.7500 0.3880
Se1 0.2500 0.2500 0.3896
Se2 0.2500 0.2500 0.8061
Se3 0.7500 0.7500 0.1939
Se4 0.7500 0.7500 0.6104
O1 0.2500 0.7500 0.0000
O2 0.7500 0.2500 0.0000